Structure and computed powder XRD pattern of CrO (a structure optimized by DFT (GGA+U); Cu Kα X-rays).
Neutral-atom scattering factors, no anomalous dispersion.

Most intense lines, 2θ = 15–90°, most intense first:
2θ/deg  d/Å  intensity  index
34.81  2.577  100.0  2 1 0
38.23  2.354  80.2  2 1 1
34.55  2.596  52.8  1 0 2
38.03  2.366  36.6  1 1 2
59.95  1.543  28.9  1 3 2
59.70  1.549  20.8  2 1 3
55.07  1.668  17.2  2 2 2
60.09  1.540  16.7  3 2 1
47.15  1.928  15.4  2 1 2
64.77  1.439  11.9  4 0 0

Structure:
a b c (Å): 5.7570 5.7570 5.8164
angles (deg): 90.00 90.00 90.00
Space group P4_2/m (No. 84)
Inequivalent atoms, fractional coordinates:
Cr 0.0000 0.0000 0.2500 [2 per cell]
Cr 0.0000 0.5000 0.0000 [2 per cell]
Cr 0.2474 0.4588 0.5000 [4 per cell]
O 0.1906 0.6935 0.2359 [8 per cell]

---

Structure and computed powder XRD pattern of LiV6O11F (a structure optimized by DFT (GGA+U); Cu Kα X-rays).
Neutral-atom scattering factors, no anomalous dispersion.

Most intense lines, 2θ = 15–90°, most intense first:
2θ/deg  d/Å  intensity  index
22.51  3.949  100.0  2 0 0
27.84  3.204  89.7  0 2 0
36.10  2.488  37.2  1 1 3
35.37  2.537  31.3  1 1 -3
63.97  1.455  24.2  0 0 6
54.28  1.690  21.7  1 3 -3
54.80  1.675  20.4  1 3 3
39.09  2.304  18.5  2 0 3
37.75  2.383  15.7  2 0 -3
41.92  2.155  14.8  0 2 3

Structure:
a b c (Å): 7.9036 6.4082 8.7377
angles (deg): 90.00 92.04 90.00
Space group Cm (No. 8)
Inequivalent atoms, fractional coordinates:
Li 0.0000 0.0000 0.0000 [2 per cell]
V 0.2119 0.5000 0.5454 [2 per cell]
V 0.2159 0.5000 0.8812 [2 per cell]
V 0.2742 0.0000 0.3940 [2 per cell]
V 0.3094 0.0000 0.7130 [2 per cell]
V 0.3105 0.0000 0.0440 [2 per cell]
V 0.3666 0.5000 0.2307 [2 per cell]
O 0.0945 0.0000 0.2138 [2 per cell]
O 0.1322 0.0000 0.5346 [2 per cell]
O 0.1580 0.0000 0.8759 [2 per cell]
O 0.2768 0.3143 0.7139 [4 per cell]
O 0.2906 0.3114 0.3839 [4 per cell]
O 0.3110 0.3158 0.0507 [4 per cell]
O 0.4834 0.0000 0.5428 [2 per cell]
O 0.4947 0.0000 0.8874 [2 per cell]
F 0.4589 0.0000 0.2323 [2 per cell]

---

Structure and computed powder XRD pattern of RbLuW2O8 (a structure optimized by DFT (GGA+U); Cu Kα X-rays).
Neutral-atom scattering factors, no anomalous dispersion.

Most intense lines, 2θ = 15–90°, most intense first:
2θ/deg  d/Å  intensity  index
20.25  4.386  100.0  1 0 1
28.03  3.183  61.9  1 0 2
29.53  3.025  59.1  1 1 0
41.17  2.193  24.9  2 0 2
51.47  1.775  23.6  2 1 2
47.28  1.923  21.1  2 1 1
54.96  1.671  20.8  1 1 4
37.80  2.380  15.0  0 1 3
68.69  1.366  13.6  1 3 2
52.39  1.746  12.1  3 0 0

Structure:
a b c (Å): 6.0500 6.0500 8.0157
angles (deg): 90.00 90.00 120.00
Space group P-3m1 (No. 164)
Inequivalent atoms, fractional coordinates:
Rb 0.0000 0.0000 0.0000 [1 per cell]
Lu 0.0000 0.0000 0.5000 [1 per cell]
W 0.3333 0.6667 0.2661 [2 per cell]
O 0.1676 0.3353 0.3370 [6 per cell]
O 0.3333 0.6667 0.0448 [2 per cell]

---

Structure and computed powder XRD pattern of VZn2IO7 (a structure optimized by DFT (GGA+U); Cu Kα X-rays).
Neutral-atom scattering factors, no anomalous dispersion.

Most intense lines, 2θ = 15–90°, most intense first:
2θ/deg  d/Å  intensity  index
27.38  3.257  100.0  1 2 -1
31.25  2.862  47.3  1 2 1
27.21  3.277  42.7  1 1 1
18.35  4.835  37.6  0 1 1
23.83  3.734  36.2  0 2 1
34.24  2.619  20.2  2 0 0
31.41  2.848  19.4  1 3 0
49.56  1.839  19.1  1 4 -2
33.80  2.652  18.9  0 1 2
43.65  2.074  17.0  2 3 0

Structure:
a b c (Å): 5.3461 10.1810 5.6072
angles (deg): 90.00 101.53 90.00
Space group Pc (No. 7)
Inequivalent atoms, fractional coordinates:
V 0.0000 0.1440 0.0000 [2 per cell]
Zn 0.4975 0.0612 0.5201 [2 per cell]
Zn 0.8647 0.3654 0.4711 [2 per cell]
I 0.4377 0.3695 0.7897 [2 per cell]
O 0.0967 0.2348 0.7620 [2 per cell]
O 0.2034 0.4623 0.5679 [2 per cell]
O 0.2720 0.0620 0.1661 [2 per cell]
O 0.5434 0.2578 0.5612 [2 per cell]
O 0.7027 0.4819 0.7422 [2 per cell]
O 0.7513 0.0379 0.8674 [2 per cell]
O 0.8837 0.2521 0.1818 [2 per cell]

---

Structure and computed powder XRD pattern of Sr5Ca3TiMn7O24 (a structure optimized by DFT (GGA+U); Cu Kα X-rays).
Neutral-atom scattering factors, no anomalous dispersion.

Most intense lines, 2θ = 15–90°, most intense first:
2θ/deg  d/Å  intensity  index
32.81  2.730  100.0  4 0 0
47.08  1.930  42.8  4 4 0
58.57  1.576  36.6  6 2 2
68.78  1.365  23.7  8 0 0
78.32  1.221  15.5  8 4 0
40.47  2.229  12.7  4 0 2
87.54  1.114  7.8  8 0 4
25.80  3.453  3.9  2 2 1
82.95  1.164  3.3  8 4 2
34.86  2.574  2.5  0 0 3

Structure:
a b c (Å): 10.9217 10.9197 7.7187
angles (deg): 90.00 90.01 90.00
Space group Cm (No. 8)
Inequivalent atoms, fractional coordinates:
Sr 0.0000 0.0000 0.0000 [2 per cell]
Sr 0.0002 0.0000 0.4972 [2 per cell]
Sr 0.0029 0.5000 0.4970 [2 per cell]
Sr 0.2515 0.2514 0.4970 [4 per cell]
Ca 0.0036 0.5000 0.0004 [2 per cell]
Ca 0.2514 0.2519 0.0004 [4 per cell]
Ti 0.2526 0.0000 0.7516 [2 per cell]
Mn 0.0016 0.2505 0.2472 [4 per cell]
Mn 0.0017 0.2504 0.7503 [4 per cell]
Mn 0.2511 0.5000 0.2471 [2 per cell]
Mn 0.2511 0.5000 0.7501 [2 per cell]
Mn 0.2521 0.0000 0.2475 [2 per cell]
O 0.0015 0.2502 0.4988 [4 per cell]
O 0.0016 0.2526 0.9983 [4 per cell]
O 0.1259 0.1275 0.7512 [4 per cell]
O 0.1264 0.3751 0.2432 [4 per cell]
O 0.1262 0.3750 0.7540 [4 per cell]
O 0.1280 0.1262 0.2455 [4 per cell]
O 0.2490 0.5000 0.9986 [2 per cell]
O 0.2513 0.5000 0.4986 [2 per cell]
O 0.2519 0.0000 0.4955 [2 per cell]
O 0.2533 0.0000 0.0018 [2 per cell]
O 0.3753 0.3737 0.2455 [4 per cell]
O 0.3754 0.3736 0.7516 [4 per cell]
O 0.3765 0.1248 0.2432 [4 per cell]
O 0.3783 0.1264 0.7525 [4 per cell]

---

Structure and computed powder XRD pattern of TiMnO3 (a structure optimized by DFT (GGA+U); Cu Kα X-rays).
Neutral-atom scattering factors, no anomalous dispersion.

Most intense lines, 2θ = 15–90°, most intense first:
2θ/deg  d/Å  intensity  index
33.68  2.661  100.0  1 2 1
48.59  1.874  27.7  2 0 2
61.23  1.514  26.7  1 2 3
33.19  2.699  23.3  2 0 0
34.46  2.603  21.4  0 0 2
48.14  1.890  17.4  0 4 0
59.61  1.551  13.8  3 2 1
59.72  1.548  11.9  2 4 0
70.81  1.331  11.7  2 4 2
60.53  1.530  11.7  0 4 2

Structure:
a b c (Å): 5.3984 7.5613 5.2059
angles (deg): 90.00 90.00 90.00
Space group Pnma (No. 62)
Inequivalent atoms, fractional coordinates:
Ti 0.0000 0.0000 0.0000 [4 per cell]
Mn 0.0524 0.2500 0.4876 [4 per cell]
O 0.0436 0.7500 0.1117 [4 per cell]
O 0.1946 0.5586 0.6905 [8 per cell]

---

Structure and computed powder XRD pattern of CuNi3C8O24 (a structure optimized by DFT (GGA+U); Cu Kα X-rays).
Neutral-atom scattering factors, no anomalous dispersion.

Most intense lines, 2θ = 15–90°, most intense first:
2θ/deg  d/Å  intensity  index
16.89  5.250  100.0  1 -1 1
17.06  5.197  98.8  1 1 -1
19.24  4.614  87.5  0 0 2
21.01  4.229  64.0  0 2 0
18.19  4.876  54.6  -1 1 1
18.50  4.796  51.8  1 1 1
34.50  2.600  27.5  3 -1 1
33.98  2.638  26.7  1 1 3
23.26  3.823  25.0  2 0 1
44.90  2.019  22.8  0 4 -2

Structure:
a b c (Å): 8.4415 8.5360 9.2948
angles (deg): 96.86 90.24 91.07
Space group P-1 (No. 2)
Inequivalent atoms, fractional coordinates:
Cu 0.0000 0.0000 0.0000 [1 per cell]
Ni 0.0000 0.5000 0.5000 [1 per cell]
Ni 0.5000 0.0000 0.5000 [1 per cell]
Ni 0.5000 0.5000 0.0000 [1 per cell]
C 0.1516 0.3296 0.9552 [2 per cell]
C 0.1843 0.8924 0.6946 [2 per cell]
C 0.3143 0.8946 0.1968 [2 per cell]
C 0.3464 0.3323 0.4554 [2 per cell]
O 0.0033 0.3085 0.5438 [2 per cell]
O 0.0902 0.9137 0.7881 [2 per cell]
O 0.0943 0.6020 0.6494 [2 per cell]
O 0.1451 0.2075 0.0034 [2 per cell]
O 0.1559 0.4494 0.9062 [2 per cell]
O 0.2202 0.8848 0.1027 [2 per cell]
O 0.2829 0.8871 0.6056 [2 per cell]
O 0.3417 0.4512 0.4051 [2 per cell]
O 0.3526 0.2114 0.5051 [2 per cell]
O 0.4043 0.9185 0.2943 [2 per cell]
O 0.4109 0.6028 0.1489 [2 per cell]
O 0.4968 0.3097 0.0477 [2 per cell]

---

Structure and computed powder XRD pattern of MgFe2Co4O8 (a structure optimized by DFT (GGA+U); Cu Kα X-rays).
Neutral-atom scattering factors, no anomalous dispersion.

Most intense lines, 2θ = 15–90°, most intense first:
2θ/deg  d/Å  intensity  index
34.27  2.617  100.0  1 -2 1
32.94  2.719  98.6  1 0 -2
34.58  2.594  95.2  1 2 -2
33.01  2.714  80.8  1 0 1
34.71  2.584  72.4  -2 1 1
35.03  2.562  70.8  2 1 -1
60.70  1.526  63.9  0 4 -2
29.26  3.053  44.4  0 2 -1
29.94  2.984  39.7  2 0 -1
39.39  2.287  37.0  0 0 2

Structure:
a b c (Å): 5.9694 6.1056 6.2341
angles (deg): 118.72 118.32 90.69
Space group P1 (No. 1)
Inequivalent atoms, fractional coordinates:
Mg 0.0000 0.0000 0.0000 [1 per cell]
Fe 0.6036 0.3532 0.2058 [1 per cell]
Fe 0.6052 0.8641 0.2029 [1 per cell]
Co 0.0850 0.8034 0.5964 [1 per cell]
Co 0.2887 0.2952 0.5715 [1 per cell]
Co 0.5120 0.8112 0.5923 [1 per cell]
Co 0.9473 0.4492 0.8906 [1 per cell]
O 0.3564 0.5890 0.1696 [1 per cell]
O 0.3832 0.1108 0.7676 [1 per cell]
O 0.3892 0.6742 0.7657 [1 per cell]
O 0.3908 0.1326 0.2588 [1 per cell]
O 0.8195 0.5953 0.1718 [1 per cell]
O 0.8343 0.0560 0.6693 [1 per cell]
O 0.8373 0.6199 0.6659 [1 per cell]
O 0.8724 0.1388 0.2612 [1 per cell]

---

What did the third record say?
Structure and computed powder XRD pattern of RbLuW2O8 (a structure optimized by DFT (GGA+U); Cu Kα X-rays).
Neutral-atom scattering factors, no anomalous dispersion.

Most intense lines, 2θ = 15–90°, most intense first:
2θ/deg  d/Å  intensity  index
20.25  4.386  100.0  1 0 1
28.03  3.183  61.9  1 0 2
29.53  3.025  59.1  1 1 0
41.17  2.193  24.9  2 0 2
51.47  1.775  23.6  2 1 2
47.28  1.923  21.1  2 1 1
54.96  1.671  20.8  1 1 4
37.80  2.380  15.0  0 1 3
68.69  1.366  13.6  1 3 2
52.39  1.746  12.1  3 0 0

Structure:
a b c (Å): 6.0500 6.0500 8.0157
angles (deg): 90.00 90.00 120.00
Space group P-3m1 (No. 164)
Inequivalent atoms, fractional coordinates:
Rb 0.0000 0.0000 0.0000 [1 per cell]
Lu 0.0000 0.0000 0.5000 [1 per cell]
W 0.3333 0.6667 0.2661 [2 per cell]
O 0.1676 0.3353 0.3370 [6 per cell]
O 0.3333 0.6667 0.0448 [2 per cell]

---

- Which formula does entry 1 have?
  CrO